Diffraction record for Na4Li5B3O9. The XRD peak list is theoretical, not measured: it uses the PBE geometry in Alexandria and Cu Kα (λ = 1.5418 Å).
Kinematic intensities with the Lorentz-polarization factor, no thermal factor.

Atomic structure:
```
data_Na4Li5B3O9
_cell_length_a 12.582
_cell_length_b 7.415
_cell_length_c 9.866
_cell_angle_alpha 90.00
_cell_angle_beta 107.33
_cell_angle_gamma 90.00
_symmetry_space_group_name_H-M 'C 1 2/c 1'
_symmetry_Int_Tables_number 15
_symmetry_space_group_name_Hall '-C 2yc'
loop_
_atom_site_label
_atom_site_fract_x
_atom_site_fract_y
_atom_site_fract_z
Na1 0.124 0.242 0.015
Na2 0.220 0.445 0.286
Li1 0.000 0.274 0.250
Li2 0.046 0.033 0.639
Li3 0.093 0.389 0.511
B1 0.000 0.396 0.750
B2 0.168 0.084 0.403
O1 0.000 0.210 0.750
O2 0.027 0.495 0.645
O3 0.088 0.120 0.474
O4 0.146 0.144 0.263
O5 0.237 0.487 0.030
```

The 8 most intense peaks (15° ≤ 2θ ≤ 90°), in order of rising 2θ:
(hkl)	two_theta	intensity
3 1 -1	24.55	92
1 1 2	25.30	51
0 0 4	38.23	68
4 2 0	38.59	100
4 2 -2	38.92	68
4 0 2	40.12	79
2 2 -4	44.26	47
3 3 1	45.64	63